Record 1
The following is a theoretical powder diffraction line list of Sm8Dy3Tm. It was derived from a cell relaxed with GGA-PBE, using λ = 1.5418 Å (Cu Kα).
Lines closer than 0.1° are merged.

Top 10 peaks for 2θ from 10° to 80°, sorted by position:
index, d (Å), I_rel
0 4 0, 2.986, 30
2 0 1, 2.971, 30
0 2 3, 2.787, 100
2 4 1, 2.106, 22
2 0 -5, 1.859, 8
0 6 3, 1.683, 22
2 2 4, 1.680, 11
4 2 -1, 1.676, 10
0 0 6, 1.578, 13
0 4 6, 1.395, 6

Crystal structure
Cell lengths 6.9986, 11.9458, 9.7673 Å; angles 90.00, 104.19, 90.00 degrees
Space group C2/m (No. 12)
Inequivalent atoms, fractional coordinates:
Sm 0.0725 0.2460 0.3340 x8
Sm 0.1805 0.0000 0.1623 x4
Sm 0.1799 0.5000 0.1707 x4
Dy 0.0000 0.5000 0.5000 x2
Dy 0.2500 0.2500 0.0000 x4
Tm 0.0000 0.0000 0.5000 x2


Record 2
The following is a theoretical powder diffraction line list of Pm3Pr8Er. It was derived from a cell relaxed with GGA-PBE, using λ = 1.5418 Å (Cu Kα).
Lines closer than 0.1° are merged.

Top 10 peaks for 2θ from 10° to 80°, sorted by position:
index, d (Å), I_rel
0 2 1, 3.578, 16
5 1 -1, 2.998, 100
3 1 -2, 2.988, 57
2 2 1, 2.940, 47
1 3 0, 2.930, 40
2 2 -2, 2.630, 27
6 2 -1, 2.289, 18
1 1 3, 1.823, 16
4 0 -4, 1.622, 17
10 0 -2, 1.590, 15

Crystal structure
Cell lengths 15.9702, 8.9723, 6.4924 Å; angles 90.00, 113.96, 90.00 degrees
Space group C2 (No. 5)
Inequivalent atoms, fractional coordinates:
Pm 0.0000 0.0000 0.0000 x2
Pm 0.1250 0.9400 0.6388 x4
Pr 0.0696 0.2996 0.3291 x4
Pr 0.1247 0.6678 0.1112 x4
Pr 0.1712 0.3000 0.9353 x4
Pr 0.2473 0.5482 0.6466 x4
Er 0.0000 0.6144 0.5000 x2